Record 1
This entry pairs a crystal structure of Dy4Al3In with its computed powder diffraction line list. Radiation: Cu Kα X-rays. Structure: a crystal structure in Alexandria, relaxed with GGA-PBE.
Neutral-atom scattering factors, no anomalous dispersion.

Atomic structure:
abc: 3.763 4.538 11.791
angles: 90.00 90.00 90.00
Space group Pmm2 (No. 25)
Unique sites:
Dy 0.000 0.000 0.000 x1
Dy 0.000 0.500 0.302 x1
Dy 0.500 0.000 0.488 x1
Dy 0.500 0.500 0.810 x1
Al 0.000 0.500 0.574 x1
Al 0.500 0.000 0.217 x1
Al 0.500 0.500 0.081 x1
In 0.000 0.000 0.719 x1

The 10 most intense peaks (2θ = 15–90°), in order of rising 2θ:
hkl 0 1 2, 2θ = 24.77°, d = 3.594 Å, rel. 55
hkl 0 0 4, 2θ = 30.32°, d = 2.948 Å, rel. 18
hkl 1 1 1, 2θ = 31.81°, d = 2.813 Å, rel. 100
hkl 1 0 3, 2θ = 32.95°, d = 2.718 Å, rel. 55
hkl 0 1 4, 2θ = 36.34°, d = 2.472 Å, rel. 37
hkl 1 1 3, 2θ = 38.61°, d = 2.332 Å, rel. 16
hkl 0 2 0, 2θ = 39.73°, d = 2.269 Å, rel. 25
hkl 1 1 5, 2θ = 49.86°, d = 1.829 Å, rel. 16
hkl 1 2 3, 2θ = 52.54°, d = 1.742 Å, rel. 30
hkl 2 1 4, 2θ = 61.98°, d = 1.497 Å, rel. 15

Record 2
This entry pairs a crystal structure of ThHgPbN with its computed powder diffraction line list. Radiation: Cu Kα X-rays. Structure: a crystal structure in Alexandria, relaxed with GGA-PBE.
Neutral-atom scattering factors, no anomalous dispersion.

Atomic structure:
abc: 4.305 4.305 10.829
angles: 90.00 90.00 90.00
Space group P4/nmm (No. 129, origin choice 2)
Unique sites:
Th 0.250 0.250 0.096 x2
Hg 0.250 0.250 0.734 x2
Pb 0.250 0.750 0.500 x2
N 0.250 0.750 0.000 x2

The 10 most intense peaks (2θ = 15–90°), in order of rising 2θ:
hkl 1 0 2, 2θ = 26.45°, d = 3.370 Å, rel. 62
hkl 1 1 1, 2θ = 30.50°, d = 2.931 Å, rel. 87
hkl 1 0 3, 2θ = 32.37°, d = 2.766 Å, rel. 100
hkl 1 1 2, 2θ = 33.78°, d = 2.654 Å, rel. 61
hkl 2 0 0, 2θ = 41.97°, d = 2.153 Å, rel. 62
hkl 2 1 2, 2θ = 50.30°, d = 1.814 Å, rel. 22
hkl 2 1 3, 2θ = 53.98°, d = 1.699 Å, rel. 49
hkl 1 1 6, 2θ = 59.55°, d = 1.553 Å, rel. 36
hkl 2 0 5, 2θ = 60.65°, d = 1.527 Å, rel. 27
hkl 2 2 0, 2θ = 60.86°, d = 1.522 Å, rel. 21

Record 3
This entry pairs a crystal structure of Th2Ge3Rh5 with its computed powder diffraction line list. Radiation: Cu Kα X-rays. Structure: a crystal structure in Alexandria, relaxed with GGA-PBE.
Neutral-atom scattering factors, no anomalous dispersion.

Atomic structure:
abc: 11.007 11.352 5.889
angles: 90.00 90.00 90.00
Space group Ibam (No. 72)
Unique sites:
Th 0.132 0.226 0.000 x8
Ge 0.000 0.500 0.250 x4
Ge 0.140 0.110 0.500 x8
Rh 0.000 0.000 0.250 x4
Rh 0.102 0.322 0.500 x8
Rh 0.225 0.500 0.250 x8

The 10 most intense peaks (2θ = 15–90°), in order of rising 2θ:
hkl 0 4 0, 2θ = 31.52°, d = 2.838 Å, rel. 24
hkl 2 3 1, 2θ = 32.50°, d = 2.755 Å, rel. 75
hkl 0 2 2, 2θ = 34.31°, d = 2.614 Å, rel. 100
hkl 1 4 1, 2θ = 36.07°, d = 2.490 Å, rel. 26
hkl 4 2 0, 2θ = 36.28°, d = 2.476 Å, rel. 74
hkl 3 4 1, 2θ = 43.13°, d = 2.098 Å, rel. 17
hkl 4 0 2, 2θ = 45.10°, d = 2.010 Å, rel. 67
hkl 2 5 1, 2θ = 45.90°, d = 1.977 Å, rel. 27
hkl 0 6 2, 2θ = 57.99°, d = 1.590 Å, rel. 20
hkl 4 2 4, 2θ = 75.06°, d = 1.265 Å, rel. 18

Record 4
This entry pairs a crystal structure of YNb2InOs with its computed powder diffraction line list. Radiation: Cu Kα X-rays. Structure: a crystal structure in Alexandria, relaxed with GGA-PBE.
Neutral-atom scattering factors, no anomalous dispersion.

Atomic structure:
abc: 4.817 4.817 5.263
angles: 90.00 90.00 90.00
Space group P4/mmm (No. 123)
Unique sites:
Y 0.000 0.000 0.000 x1
Nb 0.000 0.500 0.000 x2
In 0.000 0.000 0.500 x1
Os 0.500 0.500 0.500 x1

The 10 most intense peaks (2θ = 15–90°), in order of rising 2θ:
hkl 1 0 1, 2θ = 25.06°, d = 3.553 Å, rel. 27
hkl 1 1 0, 2θ = 26.16°, d = 3.406 Å, rel. 20
hkl 1 1 1, 2θ = 31.28°, d = 2.860 Å, rel. 100
hkl 0 0 2, 2θ = 34.07°, d = 2.632 Å, rel. 42
hkl 2 0 0, 2θ = 37.34°, d = 2.408 Å, rel. 65
hkl 2 0 2, 2θ = 51.43°, d = 1.777 Å, rel. 51
hkl 2 2 0, 2θ = 53.83°, d = 1.703 Å, rel. 22
hkl 1 1 3, 2θ = 59.24°, d = 1.560 Å, rel. 16
hkl 3 1 1, 2θ = 63.59°, d = 1.463 Å, rel. 26
hkl 2 2 2, 2θ = 65.26°, d = 1.430 Å, rel. 25

Record 5
This entry pairs a crystal structure of Li7Ca3Au4 with its computed powder diffraction line list. Radiation: Cu Kα X-rays. Structure: a crystal structure in Alexandria, relaxed with GGA-PBE.
Neutral-atom scattering factors, no anomalous dispersion.

Atomic structure:
abc: 16.259 4.345 10.295
angles: 90.00 126.17 90.00
Space group C2/m (No. 12)
Unique sites:
Li 0.000 0.000 0.000 x2
Li 0.014 0.500 0.795 x4
Li 0.166 0.000 0.927 x4
Li 0.181 0.500 0.512 x4
Ca 0.000 0.000 0.500 x2
Ca 0.197 0.500 0.217 x4
Au 0.107 0.000 0.322 x4
Au 0.162 0.500 0.759 x4

The 10 most intense peaks (2θ = 15–90°), in order of rising 2θ:
hkl 0 0 2, 2θ = 21.38°, d = 4.156 Å, rel. 79
hkl 4 0 -1, 2θ = 22.51°, d = 3.949 Å, rel. 58
hkl 1 1 1, 2θ = 25.83°, d = 3.449 Å, rel. 100
hkl 3 1 -1, 2θ = 26.32°, d = 3.386 Å, rel. 46
hkl 4 0 -3, 2θ = 27.22°, d = 3.277 Å, rel. 68
hkl 3 1 -2, 2θ = 27.96°, d = 3.191 Å, rel. 56
hkl 3 1 -3, 2θ = 33.30°, d = 2.690 Å, rel. 37
hkl 5 1 -2, 2θ = 34.48°, d = 2.601 Å, rel. 33
hkl 3 1 -4, 2θ = 41.07°, d = 2.198 Å, rel. 47
hkl 7 1 -4, 2θ = 46.89°, d = 1.938 Å, rel. 32

Record 6
This entry pairs a crystal structure of BeRh with its computed powder diffraction line list. Radiation: Cu Kα X-rays. Structure: a crystal structure in Alexandria, relaxed with GGA-PBE.
Neutral-atom scattering factors, no anomalous dispersion.

Atomic structure:
abc: 2.7615 2.7615 3.4362
angles: 90.00 90.00 120.00
Space group P-6m2 (No. 187)
Unique sites:
Be 0.0000 0.0000 0.0000 x1
Rh 0.3333 0.6667 0.5000 x1

The 10 most intense peaks (2θ = 15–90°), in order of rising 2θ:
hkl 0 0 1, 2θ = 25.93°, d = 3.436 Å, rel. 68
hkl 1 0 0, 2θ = 37.61°, d = 2.392 Å, rel. 81
hkl 1 0 1, 2θ = 46.25°, d = 1.963 Å, rel. 100
hkl 0 0 2, 2θ = 53.32°, d = 1.718 Å, rel. 11
hkl 1 0 2, 2θ = 67.08°, d = 1.395 Å, rel. 29
hkl 1 1 0, 2θ = 67.88°, d = 1.381 Å, rel. 16
hkl 1 1 1, 2θ = 73.99°, d = 1.281 Å, rel. 20
hkl 2 0 0, 2θ = 80.29°, d = 1.196 Å, rel. 9
hkl 0 0 3, 2θ = 84.61°, d = 1.145 Å, rel. 2
hkl 2 0 1, 2θ = 86.10°, d = 1.129 Å, rel. 16

Record 7
This entry pairs a crystal structure of PrFeP2Os with its computed powder diffraction line list. Radiation: Cu Kα X-rays. Structure: a crystal structure in Alexandria, relaxed with GGA-PBE.
Neutral-atom scattering factors, no anomalous dispersion.

Atomic structure:
abc: 3.950 3.950 10.678
angles: 90.00 90.00 90.00
Space group I-4m2 (No. 119)
Unique sites:
Pr 0.000 0.000 0.000 x2
Fe 0.000 0.500 0.250 x2
P 0.000 0.000 0.358 x4
Os 0.000 0.500 0.750 x2

The 10 most intense peaks (2θ = 15–90°), in order of rising 2θ:
hkl 0 0 2, 2θ = 16.60°, d = 5.339 Å, rel. 17
hkl 1 0 1, 2θ = 24.02°, d = 3.705 Å, rel. 53
hkl 0 0 4, 2θ = 33.57°, d = 2.670 Å, rel. 24
hkl 1 0 3, 2θ = 33.90°, d = 2.644 Å, rel. 47
hkl 1 1 2, 2θ = 36.30°, d = 2.475 Å, rel. 100
hkl 2 0 0, 2θ = 45.95°, d = 1.975 Å, rel. 36
hkl 2 0 4, 2θ = 58.10°, d = 1.588 Å, rel. 20
hkl 2 1 3, 2θ = 58.31°, d = 1.582 Å, rel. 20
hkl 1 1 6, 2θ = 61.81°, d = 1.501 Å, rel. 27
hkl 3 1 2, 2θ = 78.67°, d = 1.216 Å, rel. 21

Record 8
This entry pairs a crystal structure of LuB6 with its computed powder diffraction line list. Radiation: Cu Kα X-rays. Structure: a crystal structure in Alexandria, relaxed with GGA-PBE.
Neutral-atom scattering factors, no anomalous dispersion.

Atomic structure:
abc: 4.076 4.076 4.076
angles: 90.00 90.00 90.00
Space group Pm-3m (No. 221)
Unique sites:
Lu 0.000 0.000 0.000 x1
B 0.198 0.500 0.500 x6

The 10 most intense peaks (2θ = 15–90°), in order of rising 2θ:
hkl 1 0 0, 2θ = 21.80°, d = 4.076 Å, rel. 73
hkl 1 1 0, 2θ = 31.03°, d = 2.882 Å, rel. 100
hkl 1 1 1, 2θ = 38.25°, d = 2.353 Å, rel. 42
hkl 2 0 0, 2θ = 44.45°, d = 2.038 Å, rel. 21
hkl 2 1 0, 2θ = 50.04°, d = 1.823 Å, rel. 51
hkl 2 1 1, 2θ = 55.20°, d = 1.664 Å, rel. 30
hkl 2 2 0, 2θ = 64.68°, d = 1.441 Å, rel. 11
hkl 2 2 1, 2θ = 69.14°, d = 1.359 Å, rel. 28
hkl 3 1 0, 2θ = 73.47°, d = 1.289 Å, rel. 20
hkl 3 1 1, 2θ = 77.70°, d = 1.229 Å, rel. 13

Record 9
This entry pairs a crystal structure of Cs3SCl6 with its computed powder diffraction line list. Radiation: Cu Kα X-rays. Structure: a crystal structure in Alexandria, relaxed with GGA-PBE.
Neutral-atom scattering factors, no anomalous dispersion.

Atomic structure:
abc: 7.845 7.845 12.556
angles: 90.00 90.00 90.00
Space group I4/mmm (No. 139)
Unique sites:
Cs 0.000 0.000 0.000 x2
Cs 0.000 0.500 0.250 x4
S 0.000 0.000 0.500 x2
Cl 0.000 0.000 0.260 x4
Cl 0.208 0.208 0.500 x8

The 10 most intense peaks (2θ = 15–90°), in order of rising 2θ:
hkl 1 1 2, 2θ = 21.37°, d = 4.157 Å, rel. 100
hkl 2 0 0, 2θ = 22.67°, d = 3.922 Å, rel. 46
hkl 2 0 2, 2θ = 26.80°, d = 3.327 Å, rel. 39
hkl 0 0 4, 2θ = 28.43°, d = 3.139 Å, rel. 39
hkl 2 2 0, 2θ = 32.28°, d = 2.774 Å, rel. 49
hkl 2 0 4, 2θ = 36.67°, d = 2.451 Å, rel. 26
hkl 3 1 2, 2θ = 39.04°, d = 2.307 Å, rel. 34
hkl 2 2 4, 2θ = 43.54°, d = 2.078 Å, rel. 41
hkl 4 0 0, 2θ = 46.33°, d = 1.960 Å, rel. 28
hkl 4 0 4, 2θ = 55.23°, d = 1.663 Å, rel. 17

Record 10
This entry pairs a crystal structure of Sc3Bi2Sb with its computed powder diffraction line list. Radiation: Cu Kα X-rays. Structure: a crystal structure in Alexandria, relaxed with GGA-PBE.
Neutral-atom scattering factors, no anomalous dispersion.

Atomic structure:
abc: 8.469 11.972 25.357
angles: 90.00 90.00 90.00
Space group Fddd (No. 70, origin choice 2)
Unique sites:
Sc 0.118 0.375 0.375 x16
Sc 0.122 0.372 0.210 x32
Bi 0.125 0.125 0.376 x16
Bi 0.125 0.125 0.542 x16
Sb 0.125 0.125 0.042 x16

The 10 most intense peaks (2θ = 15–90°), in order of rising 2θ:
hkl 2 2 0, 2θ = 25.79°, d = 3.455 Å, rel. 67
hkl 2 0 6, 2θ = 29.86°, d = 2.992 Å, rel. 100
hkl 4 0 0, 2θ = 42.74°, d = 2.116 Å, rel. 75
hkl 4 2 6, 2θ = 50.59°, d = 1.804 Å, rel. 35
hkl 4 4 0, 2θ = 53.01°, d = 1.727 Å, rel. 27
hkl 0 8 0, 2θ = 62.04°, d = 1.496 Å, rel. 12
hkl 6 2 0, 2θ = 68.31°, d = 1.373 Å, rel. 13
hkl 2 8 6, 2θ = 70.35°, d = 1.338 Å, rel. 28
hkl 6 4 6, 2θ = 78.24°, d = 1.222 Å, rel. 17
hkl 2 4 18, 2θ = 78.34°, d = 1.220 Å, rel. 8

Record 11
This entry pairs a crystal structure of Tb3Th5N8 with its computed powder diffraction line list. Radiation: Cu Kα X-rays. Structure: a crystal structure in Alexandria, relaxed with GGA-PBE.
Neutral-atom scattering factors, no anomalous dispersion.

Atomic structure:
abc: 7.2151 7.2151 17.6400
angles: 90.00 90.00 120.00
Space group R-3m (No. 166, hexagonal axes)
Unique sites:
Tb 0.0000 0.5000 0.0000 x9
Th 0.0000 0.0000 0.0000 x3
Th 0.0000 0.0000 0.5000 x3
Th 0.0000 0.5000 0.5000 x9
N 0.0000 0.0000 0.2501 x6
N 0.0020 0.5010 0.2510 x18

The 10 most intense peaks (2θ = 15–90°), in order of rising 2θ:
hkl 2 0 2, 2θ = 30.36°, d = 2.944 Å, rel. 100
hkl 0 2 4, 2θ = 35.20°, d = 2.549 Å, rel. 68
hkl 2 2 0, 2θ = 50.64°, d = 1.803 Å, rel. 48
hkl 2 2 6, 2θ = 60.20°, d = 1.537 Å, rel. 47
hkl 4 0 4, 2θ = 63.14°, d = 1.472 Å, rel. 12
hkl 0 4 8, 2θ = 74.43°, d = 1.275 Å, rel. 8
hkl 4 2 2, 2θ = 82.42°, d = 1.170 Å, rel. 15
hkl 2 0 14, 2θ = 82.56°, d = 1.169 Å, rel. 5
hkl 2 4 4, 2θ = 85.04°, d = 1.141 Å, rel. 11
hkl 2 2 12, 2θ = 85.15°, d = 1.140 Å, rel. 11

Record 12
This entry pairs a crystal structure of Nb4CrSi3 with its computed powder diffraction line list. Radiation: Cu Kα X-rays. Structure: a crystal structure in Alexandria, relaxed with GGA-PBE.
Neutral-atom scattering factors, no anomalous dispersion.

Atomic structure:
abc: 9.945 9.945 4.942
angles: 90.00 90.00 90.00
Space group I4/mcm (No. 140)
Unique sites:
Nb 0.081 0.220 0.000 x16
Cr 0.000 0.500 0.250 x4
Si 0.000 0.000 0.250 x4
Si 0.154 0.346 0.500 x8

The 10 most intense peaks (2θ = 15–90°), in order of rising 2θ:
hkl 2 1 1, 2θ = 26.97°, d = 3.306 Å, rel. 32
hkl 0 0 2, 2θ = 36.36°, d = 2.471 Å, rel. 34
hkl 3 2 1, 2θ = 37.34°, d = 2.409 Å, rel. 98
hkl 4 2 0, 2θ = 40.57°, d = 2.224 Å, rel. 50
hkl 2 0 2, 2θ = 40.78°, d = 2.213 Å, rel. 25
hkl 4 1 1, 2θ = 41.67°, d = 2.168 Å, rel. 100
hkl 2 2 2, 2θ = 44.83°, d = 2.022 Å, rel. 40
hkl 3 2 3, 2θ = 66.06°, d = 1.414 Å, rel. 18
hkl 5 5 0, 2θ = 66.48°, d = 1.406 Å, rel. 17
hkl 4 1 3, 2θ = 69.04°, d = 1.360 Å, rel. 22

Record 13
This entry pairs a crystal structure of V2Cr2H7 with its computed powder diffraction line list. Radiation: Cu Kα X-rays. Structure: a crystal structure in Alexandria, relaxed with GGA-PBE.
Neutral-atom scattering factors, no anomalous dispersion.

Atomic structure:
abc: 2.891 2.891 8.364
angles: 90.00 90.00 90.00
Space group P-4m2 (No. 115)
Unique sites:
V 0.000 0.500 0.125 x2
Cr 0.000 0.500 0.627 x2
H 0.000 0.000 0.252 x2
H 0.000 0.000 0.500 x1
H 0.500 0.500 0.000 x1
H 0.500 0.500 0.254 x2
H 0.500 0.500 0.500 x1

The 8 most intense peaks (2θ = 15–90°), in order of rising 2θ:
hkl 1 0 2, 2θ = 37.84°, d = 2.378 Å, rel. 100
hkl 0 0 4, 2θ = 43.27°, d = 2.091 Å, rel. 15
hkl 1 1 0, 2θ = 44.32°, d = 2.044 Å, rel. 28
hkl 1 1 4, 2θ = 63.67°, d = 1.462 Å, rel. 19
hkl 2 0 0, 2θ = 64.47°, d = 1.445 Å, rel. 9
hkl 1 0 6, 2θ = 75.76°, d = 1.256 Å, rel. 10
hkl 2 1 2, 2θ = 77.25°, d = 1.235 Å, rel. 20
hkl 2 0 4, 2θ = 80.85°, d = 1.189 Å, rel. 8